Record 1
Theoretical X-ray diffraction stick pattern
Compound: KTmCoF6
Radiation: CuKα
Structure: a cell relaxed with PBE+U
Peak positions follow from Bragg's law for the DFT cell and can differ from measured ones.

```
18
Lattice="-3.5662 3.7050 5.1580 3.5662 -3.7050 5.1580 3.5662 3.7050 -5.1580" Properties=species:S:1:pos:R:3 pbc="T T T"
K 0.0000 1.8525 0.9967
K 3.5662 1.8525 4.1613
Tm 3.5662 0.0000 0.0000
Tm 0.0000 0.0000 5.1580
Co 1.7831 1.8525 -2.5790
Co 1.7831 -1.8525 2.5790
F 1.6680 -0.3490 1.2071
F 5.4644 -0.3490 1.2071
F 3.5662 1.8525 -1.5043
F 1.6680 3.3560 -1.2071
F 1.8982 -0.3490 3.9509
F 3.5662 1.8525 1.1521
F 0.0000 1.8525 4.0059
F 1.6680 4.0540 1.2071
F 1.8982 0.3490 6.3651
F 0.0000 1.8525 6.6623
F -1.8982 4.0540 3.9509
F 1.8982 4.0540 3.9509
```

Largest 12 diffraction maxima, most intense first, 2θ = 10–90°:
- 15.10°, rel. 100
- 28.49°, rel. 53
- 50.12°, rel. 47
- 30.47°, rel. 43
- 29.69°, rel. 42
- 37.86°, rel. 31
- 17.19°, rel. 24
- 28.82°, rel. 21
- 46.22°, rel. 18
- 29.11°, rel. 17
- 14.72°, rel. 16
- 58.97°, rel. 13



Record 2
Theoretical X-ray diffraction stick pattern
Compound: LiTiMnO4
Radiation: CuKα
Structure: a cell relaxed with PBE+U
Peak positions follow from Bragg's law for the DFT cell and can differ from measured ones.

```
28
Lattice="6.3069 0.0000 0.0000 0.0000 6.3069 0.0000 0.0000 0.0000 7.2042" Properties=species:S:1:pos:R:3 pbc="T T T"
Li 0.0000 1.3898 0.0000
Li 0.0000 4.9171 3.6021
Li 1.3898 0.0000 1.8010
Li 4.9171 0.0000 5.4031
Ti 1.3660 3.1534 1.8010
Ti 3.1534 1.3660 0.0000
Ti 3.1534 4.9409 3.6021
Ti 4.9409 3.1534 5.4031
Mn 1.6293 1.6293 4.5026
Mn 1.6293 4.6776 6.3036
Mn 4.6776 1.6293 2.7016
Mn 4.6776 4.6776 0.9005
O 0.2134 1.7010 2.0778
O 0.2134 4.6059 1.5243
O 1.6741 2.8888 7.0818
O 1.6741 3.4180 3.7244
O 1.7010 0.2134 6.9274
O 1.7010 6.0935 3.8788
O 2.8888 1.6741 1.9234
O 2.8888 4.6328 1.6787
O 3.4180 1.6741 5.2808
O 3.4180 4.6328 5.5254
O 4.6059 0.2134 0.2767
O 4.6059 6.0935 3.3253
O 4.6328 2.8888 0.1223
O 4.6328 3.4180 3.4797
O 6.0935 1.7010 5.1264
O 6.0935 4.6059 5.6799
```

Largest 12 diffraction maxima, most intense first, 2θ = 10–90°:
- 34.14°, rel. 100
- 40.18°, rel. 84
- 31.94°, rel. 55
- 53.94°, rel. 48
- 28.30°, rel. 48
- 23.46°, rel. 47
- 14.04°, rel. 42
- 66.77°, rel. 41
- 52.44°, rel. 36
- 58.54°, rel. 33
- 28.54°, rel. 24
- 73.39°, rel. 20